(1)
For Pm3Ho2Mg8, DFT lattice parameters and positions (PBE) gives the computed X-ray powder pattern in this record (λ = 1.5418 Å (Cu Kα)).
Kinematic intensities with the Lorentz-polarization factor, no thermal factor.

The 6 most intense peaks (2θ from 10° to 90°), in order of falling intensity:
31.60°, rel. 100
30.56°, rel. 88
33.82°, rel. 76
21.15°, rel. 69
14.15°, rel. 51
54.98°, rel. 42

```
data_Pm3Ho2Mg8
_chemical_formula_sum 'Pm9 Ho6 Mg24'
_cell_length_a 5.8504
_cell_length_b 5.8504
_cell_length_c 37.5575
_cell_angle_alpha 90.00
_cell_angle_beta 90.00
_cell_angle_gamma 120.00
_symmetry_space_group_name_H-M 'R -3 m'
_symmetry_Int_Tables_number 166
_symmetry_space_group_name_Hall '-R 3 2"'
loop_
_atom_site_label
_atom_site_type_symbol
_atom_site_fract_x
_atom_site_fract_y
_atom_site_fract_z
_atom_site_occupancy
Pm1 Pm 0.0000 0.0000 0.0000 1
Pm2 Pm 0.0000 0.0000 0.1832 1
Ho1 Ho 0.0000 0.0000 0.3596 1
Mg1 Mg 0.0000 0.0000 0.2754 1
Mg2 Mg 0.0010 0.5005 0.7680 1
```

***

(2)
For Zn7Ag12Sn, DFT lattice parameters and positions (PBE) gives the computed X-ray powder pattern in this record (λ = 1.5418 Å (Cu Kα)).
Kinematic intensities with the Lorentz-polarization factor, no thermal factor.

The 6 most intense peaks (2θ from 10° to 90°), in order of falling intensity:
39.14°, rel. 100
39.77°, rel. 95
36.97°, rel. 89
40.89°, rel. 61
38.97°, rel. 59
35.03°, rel. 45

```
data_Zn7Ag12Sn
_chemical_formula_sum 'Zn21 Ag36 Sn3'
_cell_length_a 9.7265
_cell_length_b 9.7265
_cell_length_c 13.4445
_cell_angle_alpha 90.00
_cell_angle_beta 90.00
_cell_angle_gamma 120.00
_symmetry_space_group_name_H-M 'R -3'
_symmetry_Int_Tables_number 148
_symmetry_space_group_name_Hall '-R 3'
loop_
_atom_site_label
_atom_site_type_symbol
_atom_site_fract_x
_atom_site_fract_y
_atom_site_fract_z
_atom_site_occupancy
Zn1 Zn 0.0000 0.0000 0.0000 1
Zn2 Zn 0.0615 0.8767 0.3210 1
Ag1 Ag 0.0116 0.4696 0.8147 1
Ag2 Ag 0.0328 0.4769 0.6043 1
Sn1 Sn 0.0000 0.0000 0.5000 1
```

***

(3)
For MgCd2Ir, DFT lattice parameters and positions (PBE) gives the computed X-ray powder pattern in this record (λ = 1.5418 Å (Cu Kα)).
Kinematic intensities with the Lorentz-polarization factor, no thermal factor.

The 6 most intense peaks (2θ from 10° to 90°), in order of falling intensity:
37.33°, rel. 100
39.74°, rel. 45
70.54°, rel. 30
12.14°, rel. 27
27.81°, rel. 15
65.71°, rel. 15

```
data_MgCd2Ir
_chemical_formula_sum 'Mg1 Cd2 Ir1'
_cell_length_a 3.2080
_cell_length_b 3.2080
_cell_length_c 7.2929
_cell_angle_alpha 90.00
_cell_angle_beta 90.00
_cell_angle_gamma 90.00
_symmetry_space_group_name_H-M 'P 4 m m'
_symmetry_Int_Tables_number 99
loop_
_symmetry_equiv_pos_as_xyz
'x,y,z'
'-y,x,z'
'-x,-y,z'
'y,-x,z'
'-x,y,z'
'y,x,z'
'x,-y,z'
'-y,-x,z'
loop_
_atom_site_label
_atom_site_type_symbol
_atom_site_fract_x
_atom_site_fract_y
_atom_site_fract_z
_atom_site_occupancy
Mg1 Mg 0.0000 0.0000 0.0000 1
Cd1 Cd 0.0000 0.0000 0.5733 1
Cd2 Cd 0.5000 0.5000 0.2819 1
Ir1 Ir 0.5000 0.5000 0.8097 1
```